The following is a theoretical powder XRD pattern of ErSiHO4. It was derived from a GGA-PBE-relaxed structure, using copper Kα.

Principal peaks in the range 10° ≤ 2θ ≤ 80°, in order of rising 2θ:
| 2θ (°) | I (rel.) |
| --- | --- |
| 19.13 | 93.8 |
| 19.41 | 66.9 |
| 25.56 | 100.0 |
| 26.41 | 97.4 |
| 33.61 | 92.2 |
| 34.94 | 70.6 |
| 50.40 | 32.2 |
| 53.30 | 31.6 |

Crystal structure
```
data_ErSiHO4
_cell_length_a 7.031
_cell_length_b 6.215
_cell_length_c 6.808
_cell_angle_alpha 90.00
_cell_angle_beta 97.51
_cell_angle_gamma 90.00
_symmetry_space_group_name_H-M 'P 1'
_symmetry_Int_Tables_number 1
_symmetry_space_group_name_Hall 'P 1'
loop_
_atom_site_label
_atom_site_fract_x
_atom_site_fract_y
_atom_site_fract_z
Er1 0.223 0.138 0.496
Er2 0.223 0.362 0.996
Er3 0.777 0.638 0.004
Er4 0.777 0.862 0.504
Si1 0.249 0.622 0.487
Si2 0.249 0.878 0.987
Si3 0.751 0.122 0.013
Si4 0.751 0.378 0.513
H1 0.399 0.628 0.836
H2 0.399 0.872 0.336
H3 0.601 0.128 0.664
H4 0.601 0.372 0.164
O1 0.075 0.705 0.980
O2 0.075 0.795 0.480
O3 0.238 0.056 0.813
O4 0.238 0.444 0.313
O5 0.283 0.022 0.188
O6 0.283 0.478 0.688
O7 0.435 0.706 0.970
O8 0.435 0.794 0.470
O9 0.565 0.206 0.530
O10 0.565 0.294 0.030
O11 0.717 0.522 0.312
O12 0.717 0.978 0.812
O13 0.762 0.556 0.687
O14 0.762 0.944 0.187
O15 0.925 0.205 0.520
O16 0.925 0.295 0.020
```

The following is a theoretical powder XRD pattern of ErSiHO4. It was derived from a GGA-PBE-relaxed structure, using copper Kα.

Principal peaks in the range 10° ≤ 2θ ≤ 80°, in order of rising 2θ:
| 2θ (°) | I (rel.) |
| --- | --- |
| 12.20 | 52.8 |
| 21.69 | 100.0 |
| 24.55 | 28.8 |
| 28.95 | 44.0 |
| 32.67 | 54.4 |
| 32.98 | 21.8 |
| 47.21 | 28.4 |
| 48.84 | 45.1 |

Crystal structure
```
data_ErSiHO4
_cell_length_a 8.800
_cell_length_b 8.800
_cell_length_c 8.800
_cell_angle_alpha 111.00
_cell_angle_beta 111.00
_cell_angle_gamma 111.00
_symmetry_space_group_name_H-M 'P 1'
_symmetry_Int_Tables_number 1
_symmetry_space_group_name_Hall 'P 1'
loop_
_atom_site_label
_atom_site_fract_x
_atom_site_fract_y
_atom_site_fract_z
Er1 0.016 0.767 0.217
Er2 0.170 0.385 0.625
Er3 0.217 0.016 0.767
Er4 0.385 0.625 0.170
Er5 0.625 0.170 0.385
Er6 0.767 0.217 0.016
Si1 0.253 0.826 0.992
Si2 0.380 0.785 0.584
Si3 0.584 0.380 0.785
Si4 0.785 0.584 0.380
Si5 0.826 0.992 0.253
Si6 0.992 0.253 0.826
H1 0.062 0.536 0.400
H2 0.400 0.062 0.536
H3 0.536 0.400 0.062
H4 0.654 0.710 0.930
H5 0.710 0.930 0.654
H6 0.930 0.654 0.710
O1 0.051 0.066 0.409
O2 0.054 0.789 0.826
O3 0.066 0.409 0.051
O4 0.192 0.269 0.847
O5 0.193 0.564 0.500
O6 0.262 0.885 0.519
O7 0.269 0.847 0.192
O8 0.279 0.647 0.906
O9 0.409 0.051 0.066
O10 0.475 0.491 0.756
O11 0.491 0.756 0.475
O12 0.500 0.193 0.564
O13 0.514 0.917 0.818
O14 0.519 0.262 0.885
O15 0.564 0.500 0.193
O16 0.647 0.906 0.279
O17 0.756 0.475 0.491
O18 0.789 0.826 0.054
O19 0.818 0.514 0.917
O20 0.826 0.054 0.789
O21 0.847 0.192 0.269
O22 0.885 0.519 0.262
O23 0.906 0.279 0.647
O24 0.917 0.818 0.514
```